# 1
Theoretical PXRD pattern
Compound: CeTh2Co
Radiation: Cu Kα (λ = 1.5418 Å)
Structure: a PBE-relaxed structure
Lines closer than 0.1° are merged.

Principal peaks in the range 2θ from 15° to 90°, most intense first:
2.868 Å, intensity 100, (0 3 1); 2.836 Å, intensity 80, (1 0 2); 2.648 Å, intensity 76, (1 3 1); 2.561 Å, intensity 72, (2 2 1); 2.722 Å, intensity 54, (1 1 2); 1.692 Å, intensity 51, (1 3 3); 2.448 Å, intensity 43, (1 2 2); 2.810 Å, intensity 39, (2 2 0)

```
data_CeTh2Co
_chemical_formula_sum 'Ce4 Th8 Co4'
_symmetry_space_group_name_H-M 'P 1'
_symmetry_Int_Tables_number 1
_symmetry_space_group_name_Hall 'P 1'
_cell_length_a 6.8964
_cell_length_b 9.6955
_cell_length_c 6.2237
_cell_angle_alpha 90.00
_cell_angle_beta 90.00
_cell_angle_gamma 90.00
loop_
_atom_site_label
_atom_site_fract_x
_atom_site_fract_y
_atom_site_fract_z
_atom_site_occupancy
Ce1 0.0560 0.2500 0.1538 1
Ce2 0.4440 0.7500 0.6538 1
Ce3 0.5560 0.2500 0.3462 1
Ce4 0.9440 0.7500 0.8462 1
Th1 0.1739 0.0665 0.6485 1
Th2 0.1739 0.4335 0.6485 1
Th3 0.3261 0.5665 0.1485 1
Th4 0.3261 0.9335 0.1485 1
Th5 0.6739 0.0665 0.8515 1
Th6 0.6739 0.4335 0.8515 1
Th7 0.8261 0.5665 0.3515 1
Th8 0.8261 0.9335 0.3515 1
Co1 0.1296 0.7500 0.4254 1
Co2 0.3704 0.2500 0.9254 1
Co3 0.6296 0.7500 0.0746 1
Co4 0.8704 0.2500 0.5746 1
```

# 2
Theoretical PXRD pattern
Compound: PrTl2TeSe4
Radiation: Cu Kα (λ = 1.5418 Å)
Structure: a PBE-relaxed structure
Lines closer than 0.1° are merged.

Principal peaks in the range 2θ from 15° to 90°, most intense first:
3.104 Å, intensity 100, (1 1 1); 2.277 Å, intensity 59, (1 1 -3); 3.226 Å, intensity 57, (2 0 -2); 2.198 Å, intensity 38, (3 1 -1); 1.772 Å, intensity 20, (2 2 -2); 2.121 Å, intensity 20, (0 2 0); 3.545 Å, intensity 18, (1 1 -1); 1.284 Å, intensity 15, (4 2 -4)

```
data_PrTl2TeSe4
_chemical_formula_sum 'Pr1 Tl2 Te1 Se4'
_symmetry_space_group_name_H-M 'P 1'
_symmetry_Int_Tables_number 1
_symmetry_space_group_name_Hall 'P 1'
_cell_length_a 7.7104
_cell_length_b 4.2428
_cell_length_c 8.0993
_cell_angle_alpha 90.00
_cell_angle_beta 109.60
_cell_angle_gamma 90.00
loop_
_atom_site_label
_atom_site_fract_x
_atom_site_fract_y
_atom_site_fract_z
_atom_site_occupancy
Pr1 0.0000 0.0000 0.0000 1
Tl1 0.0000 0.5000 0.5000 1
Tl2 0.5000 0.0000 0.5000 1
Te1 0.5000 0.5000 0.0000 1
Se1 0.2153 0.5000 0.2375 1
Se2 0.2777 0.0000 0.8001 1
Se3 0.7223 0.0000 0.1999 1
Se4 0.7847 0.5000 0.7625 1
```